[1]
The following is a computed X-ray powder pattern of ReAs2O8. It was derived from a cell relaxed with PBE, using copper Kα.

Peak list (12 most intense, 10 to 80 degrees two-theta, sorted by position)
13.58 deg, rel. 18
17.39 deg, rel. 100
22.61 deg, rel. 8
22.77 deg, rel. 36
25.23 deg, rel. 18
31.82 deg, rel. 25
31.99 deg, rel. 19
32.32 deg, rel. 14
33.10 deg, rel. 8
39.85 deg, rel. 16
40.79 deg, rel. 14
46.77 deg, rel. 12

Atomic structure:
```
11
Lattice="6.521 -2.770 0.000 6.521 2.770 0.000 -0.034 0.000 4.904" Properties=species:S:1:pos:R:3 pbc="T T T"
Re 0.000 0.000 0.000
As 1.995 0.000 2.921
As 11.013 0.000 1.983
O 1.446 0.000 1.241
O 5.502 1.532 1.117
O 3.627 0.000 3.093
O 7.505 1.532 3.787
O 5.502 -1.532 1.117
O 9.380 0.000 1.811
O 7.505 -1.532 3.787
O 11.561 0.000 3.663
```

=====

[2]
The following is a computed X-ray powder pattern of ZnAs2RhO6. It was derived from a cell relaxed with PBE, using copper Kα.

Peak list (12 most intense, 10 to 80 degrees two-theta, sorted by position)
13.73 deg, rel. 52
25.24 deg, rel. 33
27.01 deg, rel. 71
27.55 deg, rel. 56
27.67 deg, rel. 41
27.89 deg, rel. 100
32.19 deg, rel. 75
33.88 deg, rel. 55
34.02 deg, rel. 66
51.12 deg, rel. 22
52.29 deg, rel. 24
58.32 deg, rel. 26

Atomic structure:
```
20
Lattice="5.942 -4.103 0.000 5.942 4.103 0.000 -3.046 0.000 5.561" Properties=species:S:1:pos:R:3 pbc="T T T"
Zn 3.658 3.099 4.171
Zn 5.181 -3.099 1.390
As 1.067 0.850 4.390
As 2.590 -0.850 1.610
As 6.249 0.850 3.951
As 7.771 -0.850 1.171
Rh 5.181 2.581 1.390
Rh 3.658 -2.581 4.171
O 3.245 2.682 2.059
O 1.846 2.412 4.904
O 7.117 2.682 0.722
O 5.470 2.412 3.437
O 2.196 0.043 3.178
O 3.719 -0.043 0.398
O 5.119 0.043 5.163
O 6.642 -0.043 2.383
O 3.369 -2.412 2.124
O 1.722 -2.682 4.839
O 6.993 -2.412 0.657
O 5.594 -2.682 3.502
```

=====

[3]
The following is a computed X-ray powder pattern of AsRuSe2O. It was derived from a cell relaxed with PBE, using copper Kα.

Peak list (11 most intense, 10 to 80 degrees two-theta, sorted by position)
28.74 deg, rel. 1
29.31 deg, rel. 3
35.86 deg, rel. 100
41.10 deg, rel. 41
42.74 deg, rel. 18
51.27 deg, rel. 1
59.52 deg, rel. 13
60.79 deg, rel. 25
71.48 deg, rel. 26
73.78 deg, rel. 12
76.02 deg, rel. 13

Atomic structure:
```
5
Lattice="4.393 0.000 0.000 0.000 4.393 0.000 0.000 0.000 4.231" Properties=species:S:1:pos:R:3 pbc="T T T"
As 0.000 0.000 0.000
Ru 2.196 2.196 0.000
Se 0.000 2.196 2.116
Se 2.196 0.000 2.116
O 0.000 0.000 2.116
```

=====

[4]
The following is a computed X-ray powder pattern of As2S2O9. It was derived from a cell relaxed with PBE, using copper Kα.

Peak list (12 most intense, 10 to 80 degrees two-theta, sorted by position)
15.44 deg, rel. 43
16.44 deg, rel. 100
17.45 deg, rel. 53
18.45 deg, rel. 25
24.04 deg, rel. 34
26.23 deg, rel. 71
26.65 deg, rel. 38
28.08 deg, rel. 30
32.21 deg, rel. 29
33.19 deg, rel. 31
33.90 deg, rel. 22
42.83 deg, rel. 20

Atomic structure:
```
52
Lattice="6.844 0.000 0.000 0.000 6.813 0.000 -2.225 0.000 17.644" Properties=species:S:1:pos:R:3 pbc="T T T"
As 0.796 0.767 3.589
As -0.317 2.639 12.410
As 0.820 1.644 9.562
As 1.932 1.762 0.740
As 2.687 5.051 16.904
As 3.799 5.169 8.082
As 4.936 4.174 5.233
As 3.824 6.046 14.055
S 0.065 4.892 7.656
S -1.048 5.327 16.477
S 1.551 3.816 3.136
S 0.439 6.403 11.958
S 4.181 0.410 5.686
S 3.068 2.996 14.508
S 5.667 1.485 1.166
S 4.555 1.921 9.988
O 0.119 1.508 0.283
O -0.994 1.898 9.105
O -0.332 4.165 6.347
O -1.444 6.054 15.169
O 0.724 4.997 3.256
O -0.388 5.222 12.078
O -0.358 0.734 12.657
O 0.754 2.672 3.835
O -0.602 3.984 16.208
O 0.511 6.235 7.386
O 1.598 3.447 1.624
O 0.486 6.773 10.446
O 1.010 4.033 8.346
O -0.102 6.187 17.168
O 1.991 0.788 2.243
O 0.878 2.619 11.065
O 2.896 3.875 3.654
O 1.784 6.345 12.475
O 2.835 0.468 5.168
O 1.723 2.938 13.990
O 3.741 4.194 6.579
O 2.629 6.025 15.400
O 4.721 0.626 0.475
O 3.609 2.780 9.297
O 4.133 0.040 7.198
O 3.021 3.366 16.019
O 4.109 0.577 10.258
O 5.221 2.829 1.436
O 3.865 4.140 13.809
O 4.978 6.079 4.987
O 5.007 1.590 5.565
O 3.895 1.816 14.387
O 6.063 0.758 2.475
O 4.951 2.648 11.297
O 5.613 4.915 8.538
O 4.500 5.305 17.360
```

=====

[5]
The following is a computed X-ray powder pattern of SrAsS2O8. It was derived from a cell relaxed with PBE, using copper Kα.

Peak list (12 most intense, 10 to 80 degrees two-theta, sorted by position)
25.91 deg, rel. 100
36.60 deg, rel. 32
37.34 deg, rel. 28
38.44 deg, rel. 11
43.57 deg, rel. 24
45.39 deg, rel. 15
46.62 deg, rel. 8
53.28 deg, rel. 7
59.66 deg, rel. 14
60.68 deg, rel. 16
65.89 deg, rel. 11
66.38 deg, rel. 9

Atomic structure:
```
12
Lattice="2.455 1.417 7.793 -2.455 1.417 7.793 0.000 -2.835 7.793" Properties=species:S:1:pos:R:3 pbc="T T T"
Sr 0.000 0.000 0.000
As 0.000 0.000 11.690
S 0.000 0.000 5.949
S 0.000 0.000 17.431
O -1.032 -1.462 10.098
O -1.782 0.163 13.282
O 0.000 0.000 7.446
O -0.750 1.624 10.098
O 0.750 -1.624 13.282
O 0.000 0.000 15.934
O 1.782 -0.163 10.098
O 1.032 1.462 13.282
```

=====

[6]
The following is a computed X-ray powder pattern of SbAsO5. It was derived from a cell relaxed with PBE, using copper Kα.

Peak list (12 most intense, 10 to 80 degrees two-theta, sorted by position)
13.71 deg, rel. 100
22.51 deg, rel. 44
26.16 deg, rel. 28
26.73 deg, rel. 24
28.02 deg, rel. 33
28.42 deg, rel. 37
34.00 deg, rel. 18
35.15 deg, rel. 14
35.69 deg, rel. 17
38.68 deg, rel. 16
45.41 deg, rel. 14
45.95 deg, rel. 17

Atomic structure:
```
28
Lattice="4.991 0.000 0.000 0.000 8.965 0.000 0.000 0.000 9.318" Properties=species:S:1:pos:R:3 pbc="T T T"
Sb 0.600 1.359 3.713
Sb 1.895 7.606 8.372
Sb 3.096 3.124 5.605
Sb 4.391 5.841 0.946
As 0.551 4.759 7.330
As 1.945 4.206 2.671
As 3.047 8.688 1.988
As 4.440 0.277 6.647
O 0.250 4.489 9.014
O 0.395 7.393 0.299
O 0.845 5.471 2.312
O 0.907 0.198 7.562
O 1.092 6.363 6.970
O 1.403 2.602 2.311
O 1.588 8.767 2.903
O 1.651 3.494 6.971
O 2.101 1.572 4.958
O 2.246 4.476 4.355
O 2.746 8.959 0.304
O 2.891 6.055 9.019
O 3.341 7.977 7.006
O 3.403 4.285 1.756
O 3.588 7.085 2.348
O 3.899 1.880 7.007
O 4.084 4.680 6.415
O 4.146 0.988 2.347
O 4.597 2.910 4.360
O 4.742 0.007 4.963
```

=====

[7]
The following is a computed X-ray powder pattern of Sr6Sb2AsO. It was derived from a cell relaxed with PBE, using copper Kα.

Peak list (12 most intense, 10 to 80 degrees two-theta, sorted by position)
22.80 deg, rel. 10
27.81 deg, rel. 100
31.74 deg, rel. 62
33.18 deg, rel. 23
33.54 deg, rel. 8
45.50 deg, rel. 22
46.57 deg, rel. 35
54.17 deg, rel. 31
56.05 deg, rel. 9
57.46 deg, rel. 18
75.39 deg, rel. 10
76.19 deg, rel. 8

Atomic structure:
```
10
Lattice="5.638 0.000 0.000 0.000 5.638 0.000 0.000 0.000 10.801" Properties=species:S:1:pos:R:3 pbc="T T T"
Sr 0.000 0.000 2.437
Sr 0.000 0.000 8.365
Sr 0.000 2.819 0.000
Sr 0.000 2.819 5.401
Sr 2.819 0.000 0.000
Sr 2.819 0.000 5.401
Sb 2.819 2.819 2.441
Sb 2.819 2.819 8.361
As 0.000 0.000 5.401
O 0.000 0.000 0.000
```

=====

[8]
The following is a computed X-ray powder pattern of Sc3AsO3. It was derived from a cell relaxed with PBE, using copper Kα.

Peak list (12 most intense, 10 to 80 degrees two-theta, sorted by position)
17.18 deg, rel. 24
18.89 deg, rel. 19
32.04 deg, rel. 100
40.13 deg, rel. 51
41.36 deg, rel. 21
45.08 deg, rel. 6
51.24 deg, rel. 49
61.72 deg, rel. 13
64.40 deg, rel. 10
67.00 deg, rel. 10
67.87 deg, rel. 22
79.48 deg, rel. 6

Atomic structure:
```
14
Lattice="3.088 1.783 6.550 -3.088 1.783 6.550 0.000 -3.566 6.550" Properties=species:S:1:pos:R:3 pbc="T T T"
Sc -1.136 -1.905 7.870
Sc -2.218 0.031 11.779
Sc -1.082 1.936 7.870
Sc 1.082 -1.936 11.779
Sc 2.218 -0.031 7.870
Sc 1.136 1.905 11.779
As 0.000 0.000 3.290
As 0.000 0.000 16.359
O -1.881 0.063 7.400
O -0.996 -1.598 12.248
O 0.886 -1.661 7.400
O -0.886 1.661 12.248
O 0.996 1.598 7.400
O 1.881 -0.063 12.248
```

=====

[9]
The following is a computed X-ray powder pattern of SrScAsO5. It was derived from a cell relaxed with PBE, using copper Kα.

Peak list (12 most intense, 10 to 80 degrees two-theta, sorted by position)
26.10 deg, rel. 100
27.33 deg, rel. 93
29.70 deg, rel. 30
31.53 deg, rel. 98
32.35 deg, rel. 53
35.36 deg, rel. 23
37.68 deg, rel. 33
40.81 deg, rel. 19
49.40 deg, rel. 35
51.02 deg, rel. 34
54.65 deg, rel. 19
58.21 deg, rel. 23

Atomic structure:
```
16
Lattice="3.536 -4.726 0.000 3.536 4.726 0.000 -2.852 0.000 6.830" Properties=species:S:1:pos:R:3 pbc="T T T"
Sr 1.397 3.074 5.122
Sr 2.823 -3.074 1.707
Sc 3.536 0.000 0.000
Sc 2.110 0.000 3.415
As 2.823 3.032 1.707
As 1.397 -3.032 5.122
O -1.377 0.650 6.265
O 1.716 2.045 2.602
O 0.049 -0.650 2.851
O 3.931 2.045 0.813
O 1.397 0.704 5.122
O 2.823 -0.704 1.707
O 0.290 -2.045 6.017
O 4.171 0.650 3.979
O 2.504 -2.045 4.228
O 5.597 -0.650 0.564
```

=====

[10]
The following is a computed X-ray powder pattern of TbScAs2O8. It was derived from a cell relaxed with PBE, using copper Kα.

Peak list (12 most intense, 10 to 80 degrees two-theta, sorted by position)
15.91 deg, rel. 9
19.57 deg, rel. 13
30.08 deg, rel. 100
32.13 deg, rel. 14
36.18 deg, rel. 16
41.42 deg, rel. 14
49.16 deg, rel. 29
52.10 deg, rel. 13
56.02 deg, rel. 16
61.34 deg, rel. 26
62.53 deg, rel. 12
78.79 deg, rel. 7

Atomic structure:
```
12
Lattice="-2.483 2.483 5.571 2.483 -2.483 5.571 2.483 2.483 -5.571" Properties=species:S:1:pos:R:3 pbc="T T T"
Tb 0.000 0.000 0.000
Sc 2.483 0.000 2.786
As 0.000 0.000 5.571
As 0.000 2.483 2.786
O 1.267 -0.743 4.655
O 1.739 1.216 0.916
O -0.815 1.209 1.931
O 1.216 3.226 -0.916
O 1.273 1.668 3.640
O 0.743 1.267 6.487
O 0.815 3.756 1.931
O -1.273 3.297 3.640
```

=====

[11]
The following is a computed X-ray powder pattern of AsSe2O6. It was derived from a cell relaxed with PBE, using copper Kα.

Peak list (12 most intense, 10 to 80 degrees two-theta, sorted by position)
13.64 deg, rel. 63
15.48 deg, rel. 100
20.41 deg, rel. 73
20.71 deg, rel. 21
20.84 deg, rel. 9
24.79 deg, rel. 19
24.93 deg, rel. 37
25.19 deg, rel. 10
28.70 deg, rel. 19
29.78 deg, rel. 18
42.09 deg, rel. 21
49.73 deg, rel. 13

Atomic structure:
```
9
Lattice="4.732 0.000 0.000 -1.652 6.389 0.000 -1.399 -3.149 6.491" Properties=species:S:1:pos:R:3 pbc="T T T"
As 0.000 0.000 0.000
Se 1.498 0.768 5.221
Se 2.950 1.402 1.629
O -1.003 4.586 0.203
O 1.294 1.178 1.400
O 0.786 2.480 5.045
O 2.172 -1.497 6.448
O 3.664 -0.260 1.491
O 2.686 0.644 4.089
```